1.
Bi3O2F5: computed XRD peak list (Cu Kα X-rays), based on DFT lattice parameters and positions (PBE).
Neutral-atom scattering factors, no anomalous dispersion.

Main lines, low angle first (10 to 80 degrees two-theta):
2θ 25.6, d = 3.479 Å, rel. 796; 2θ 25.9, d = 3.439 Å, rel. 1000; 2θ 29.7, d = 3.009 Å, rel. 285; 2θ 29.8, d = 2.999 Å, rel. 208; 2θ 30.0, d = 2.979 Å, rel. 222; 2θ 42.7, d = 2.115 Å, rel. 477; 2θ 50.6, d = 1.803 Å, rel. 250; 2θ 50.8, d = 1.798 Å, rel. 208

Crystal structure
Cell lengths 13.5158, 5.9587, 8.4233 Å; angles 90.00, 107.95, 90.00 degrees
Fractional positions:
Bi (0.0000, 0.0009, 0.2500)
Bi (0.0000, 0.9991, 0.7500)
Bi (0.2058, 0.4579, 0.5832)
Bi (0.2058, 0.5421, 0.0832)
Bi (0.3567, 0.0252, 0.4322)
Bi (0.3567, 0.9748, 0.9322)
Bi (0.5000, 0.4260, 0.7500)
Bi (0.5000, 0.5740, 0.2500)
Bi (0.6433, 0.0252, 0.0678)
Bi (0.6433, 0.9748, 0.5678)
Bi (0.7942, 0.4579, 0.9168)
Bi (0.7942, 0.5421, 0.4168)
O (0.3420, 0.2438, 0.6634)
O (0.3420, 0.7562, 0.1634)
O (0.4972, 0.2156, 0.9671)
O (0.4972, 0.7844, 0.4671)
O (0.5028, 0.2156, 0.5329)
O (0.5028, 0.7844, 0.0329)
O (0.6580, 0.2438, 0.8366)
O (0.6580, 0.7562, 0.3366)
F (0.0493, 0.2346, 0.0844)
F (0.0493, 0.7654, 0.5844)
F (0.1327, 0.2714, 0.7521)
F (0.1327, 0.7286, 0.2521)
F (0.1529, 0.1250, 0.4383)
F (0.1529, 0.8750, 0.9383)
F (0.2811, 0.4281, 0.3545)
F (0.2811, 0.5719, 0.8545)
F (0.3367, 0.2293, 0.1253)
F (0.3367, 0.7707, 0.6253)
F (0.6633, 0.2293, 0.3747)
F (0.6633, 0.7707, 0.8747)
F (0.7189, 0.4281, 0.1455)
F (0.7189, 0.5719, 0.6455)
F (0.8471, 0.1250, 0.0617)
F (0.8471, 0.8750, 0.5617)
F (0.8673, 0.2714, 0.7479)
F (0.8673, 0.7286, 0.2479)
F (0.9507, 0.2346, 0.4156)
F (0.9507, 0.7654, 0.9156)

=====

2.
Bi7O5F11: computed XRD peak list (Cu Kα X-rays), based on DFT lattice parameters and positions (PBE).
Neutral-atom scattering factors, no anomalous dispersion.

Main lines, low angle first (10 to 80 degrees two-theta):
2θ 26.3, d = 3.390 Å, rel. 1000; 2θ 29.1, d = 3.068 Å, rel. 165; 2θ 30.6, d = 2.919 Å, rel. 179; 2θ 31.6, d = 2.834 Å, rel. 114; 2θ 42.8, d = 2.115 Å, rel. 180; 2θ 43.5, d = 2.082 Å, rel. 132; 2θ 44.6, d = 2.033 Å, rel. 137; 2θ 49.9, d = 1.827 Å, rel. 174

Crystal structure
Cell lengths 7.3582, 7.3582, 9.2845 Å; angles 95.58, 95.58, 45.31 degrees
Fractional positions:
Bi (0.0000, 0.0000, 0.0000)
Bi (0.1466, 0.1056, 0.4223)
Bi (0.4057, 0.2065, 0.8609)
Bi (0.5405, 0.3226, 0.2871)
Bi (0.6774, 0.4595, 0.7129)
Bi (0.7935, 0.5943, 0.1391)
Bi (0.8944, 0.8534, 0.5777)
O (0.6268, 0.1574, 0.0517)
O (0.7663, 0.1169, 0.7758)
O (0.8044, 0.1956, 0.5000)
O (0.8426, 0.3732, 0.9483)
O (0.8831, 0.2337, 0.2242)
F (0.0719, 0.5724, 0.0183)
F (0.1117, 0.1781, 0.6898)
F (0.2102, 0.2827, 0.2464)
F (0.2772, 0.6019, 0.7805)
F (0.3003, 0.6997, 0.5000)
F (0.3981, 0.7228, 0.2195)
F (0.4276, 0.9281, 0.9817)
F (0.4707, 0.1418, 0.5342)
F (0.7173, 0.7898, 0.7536)
F (0.8219, 0.8883, 0.3102)
F (0.8582, 0.5293, 0.4658)

=====

3.
Bi5O7F: computed XRD peak list (Cu Kα X-rays), based on DFT lattice parameters and positions (PBE).
Neutral-atom scattering factors, no anomalous dispersion.

Main lines, low angle first (10 to 80 degrees two-theta):
2θ 13.9, d = 6.374 Å, rel. 187; 2θ 26.0, d = 3.431 Å, rel. 151; 2θ 28.2, d = 3.166 Å, rel. 1000; 2θ 28.5, d = 3.133 Å, rel. 263; 2θ 30.2, d = 2.959 Å, rel. 478; 2θ 43.1, d = 2.098 Å, rel. 187; 2θ 43.4, d = 2.086 Å, rel. 213; 2θ 48.3, d = 1.884 Å, rel. 177

Crystal structure
Cell lengths 9.7237, 9.7237, 13.4721 Å; angles 109.09, 109.09, 24.92 degrees
Fractional positions:
Bi (0.0284, 0.0284, 0.3516)
Bi (0.0974, 0.0974, 0.1065)
Bi (0.2471, 0.2471, 0.8708)
Bi (0.2957, 0.2957, 0.6378)
Bi (0.3785, 0.3785, 0.4164)
Bi (0.6215, 0.6215, 0.5836)
Bi (0.7043, 0.7043, 0.3622)
Bi (0.7529, 0.7529, 0.1292)
Bi (0.9026, 0.9026, 0.8935)
Bi (0.9716, 0.9716, 0.6484)
O (0.0877, 0.0877, 0.5167)
O (0.1180, 0.1180, 0.2858)
O (0.1976, 0.1976, 0.7048)
O (0.2076, 0.2076, 0.0969)
O (0.2720, 0.2720, 0.4352)
O (0.3486, 0.3486, 0.8265)
O (0.4352, 0.4352, 0.5979)
O (0.5648, 0.5648, 0.4021)
O (0.6514, 0.6514, 0.1735)
O (0.7280, 0.7280, 0.5648)
O (0.7924, 0.7924, 0.9031)
O (0.8024, 0.8024, 0.2952)
O (0.8820, 0.8820, 0.7142)
O (0.9123, 0.9123, 0.4833)
F (0.4196, 0.4196, 0.0281)
F (0.5804, 0.5804, 0.9719)

=====

4.
Bi5O7F: computed XRD peak list (Cu Kα X-rays), based on DFT lattice parameters and positions (PBE).
Neutral-atom scattering factors, no anomalous dispersion.

Main lines, low angle first (10 to 80 degrees two-theta):
2θ 26.4, d = 3.382 Å, rel. 545; 2θ 26.8, d = 3.332 Å, rel. 655; 2θ 27.4, d = 3.257 Å, rel. 684; 2θ 28.5, d = 3.131 Å, rel. 797; 2θ 29.1, d = 3.064 Å, rel. 1000; 2θ 29.5, d = 3.027 Å, rel. 877; 2θ 30.1, d = 2.970 Å, rel. 635; 2θ 34.2, d = 2.624 Å, rel. 400

Crystal structure
Cell lengths 6.9217, 12.5254, 13.4949 Å; angles 90.00, 118.12, 90.00 degrees
Fractional positions:
Bi (0.0089, 0.2494, 0.4298)
Bi (0.0089, 0.2506, 0.9298)
Bi (0.3146, 0.0220, 0.5831)
Bi (0.3146, 0.4780, 0.0831)
Bi (0.3276, 0.7348, 0.4194)
Bi (0.3276, 0.7652, 0.9194)
Bi (0.3506, 0.2226, 0.2666)
Bi (0.3506, 0.2774, 0.7666)
Bi (0.3759, 0.0096, 0.1085)
Bi (0.3759, 0.4904, 0.6085)
Bi (0.6241, 0.5096, 0.3915)
Bi (0.6241, 0.9904, 0.8915)
Bi (0.6494, 0.7226, 0.2334)
Bi (0.6494, 0.7774, 0.7334)
Bi (0.6724, 0.2348, 0.0806)
Bi (0.6724, 0.2652, 0.5806)
Bi (0.6854, 0.5220, 0.9169)
Bi (0.6854, 0.9780, 0.4169)
Bi (0.9911, 0.7494, 0.0702)
Bi (0.9911, 0.7506, 0.5702)
O (0.0000, 0.1049, 0.5072)
O (0.0000, 0.3951, 0.0072)
O (0.0000, 0.6049, 0.9928)
O (0.0000, 0.8951, 0.4928)
O (0.1160, 0.1561, 0.0762)
O (0.1160, 0.3439, 0.5762)
O (0.3225, 0.7418, 0.5819)
O (0.3225, 0.7582, 0.0819)
O (0.3821, 0.1036, 0.7365)
O (0.3821, 0.3964, 0.2365)
O (0.3857, 0.1665, 0.5067)
O (0.3857, 0.3335, 0.0067)
O (0.4211, 0.6425, 0.2784)
O (0.4211, 0.8575, 0.7784)
O (0.4785, 0.1019, 0.9984)
O (0.4785, 0.3981, 0.4984)
O (0.5215, 0.6019, 0.5016)
O (0.5215, 0.8981, 0.0016)
O (0.5789, 0.1425, 0.2216)
O (0.5789, 0.3575, 0.7216)
O (0.6143, 0.6665, 0.9933)
O (0.6143, 0.8335, 0.4933)
O (0.6179, 0.6036, 0.7635)
O (0.6179, 0.8964, 0.2635)
O (0.6775, 0.2418, 0.9181)
O (0.6775, 0.2582, 0.4181)
O (0.8840, 0.6561, 0.4238)
O (0.8840, 0.8439, 0.9238)
F (0.2867, 0.0220, 0.2731)
F (0.2867, 0.4780, 0.7731)
F (0.7133, 0.5220, 0.2269)
F (0.7133, 0.9780, 0.7269)